Simulated powder diffraction line list
Compound: FeNiCO4
Radiation: copper Kα
Structure: a DFT-relaxed cell (PBE+U, Alexandria)
Intensities are scaled so that the largest is 100.

Crystal structure
```
14
Lattice="-2.7381 2.7896 3.9026 2.7381 -2.7896 3.9026 2.7381 2.7896 -3.9026" Properties=species:S:1:pos:R:3 pbc="T T T"
Fe -1.3691 1.3948 1.9513
Fe 1.3691 1.3948 1.9513
Ni 0.0000 0.0000 0.0000
Ni 0.0000 2.7896 0.0000
C 2.7381 1.3948 -0.9941
C 0.0000 1.3948 4.8968
O 2.7381 -0.2316 1.7937
O 2.7381 2.5580 -1.7937
O 1.5567 1.3948 -0.1418
O 3.9196 1.3948 -0.1418
O -1.1815 1.3948 4.0444
O 1.1815 1.3948 4.0444
O 0.0000 0.2316 5.6963
O 0.0000 3.0212 2.1089
```

The 6 most intense peaks (10° ≤ 2θ ≤ 90°), sorted by position:
d/Å	2θ/deg	I (rel.)
4.539	19.56	33
4.483	19.80	45
2.368	37.99	49
2.347	38.36	68
1.953	46.49	100
1.381	67.88	41